Starting from DFT lattice parameters and positions (GGA-PBE), the powder diffraction line list of Ac2SmY5 was calculated for a wavelength of 1.5418 Å.

Top 12 peaks for 2θ = 10–90°, low angle first:
h k l	d/Å	2θ (°)	I (rel.)
1 2 0	5.990	14.8	15.4
2 0 2	3.010	29.7	99.6
2 4 0	2.995	29.8	98.2
0 4 2	2.600	34.5	100.0
0 0 4	1.847	49.3	12.2
4 4 2	1.838	49.6	46.9
0 8 0	1.834	49.7	11.8
2 4 4	1.572	58.7	28.6
2 8 2	1.566	59.0	55.3
4 0 4	1.505	61.6	12.2
4 8 0	1.498	62.0	12.1
0 12 2	1.161	83.2	15.1

```
data_Ac2SmY5
_chemical_formula_sum 'Ac8 Sm4 Y20'
_cell_length_a 10.384
_cell_length_b 14.668
_cell_length_c 7.388
_cell_angle_alpha 90.00
_cell_angle_beta 90.00
_cell_angle_gamma 90.00
_symmetry_space_group_name_H-M 'P b a m'
_symmetry_Int_Tables_number 55
loop_
_symmetry_equiv_pos_as_xyz
'x,y,z'
'-x,-y,-z'
'-x,-y,z'
'x,y,-z'
'x+1/2,-y+1/2,-z'
'-x+1/2,y+1/2,z'
'-x+1/2,y+1/2,-z'
'x+1/2,-y+1/2,z'
loop_
_atom_site_label
_atom_site_type_symbol
_atom_site_fract_x
_atom_site_fract_y
_atom_site_fract_z
Ac1 Ac 0.000 0.000 0.247
Ac2 Ac 0.241 0.371 0.500
Sm1 Sm 0.242 0.372 0.000
Y1 Y 0.000 0.500 0.245
Y2 Y 0.005 0.749 0.245
Y3 Y 0.246 0.624 0.500
Y4 Y 0.246 0.626 0.000
```